Starting from a structure optimized by DFT (PBE+U), the powder X-ray diffraction pattern of Ba2V2O5 was simulated for Cu Kα X-rays.
Neutral-atom scattering factors, no anomalous dispersion.

Structure:
Unit cell a=4.1320 b=7.9676 c=8.2504 alpha=90.00 beta=90.02 gamma=90.00
Space group P2_1 (No. 4)
Symmetry-distinct sites (fractional):
Ba 0.0003 0.9999 0.0000
Ba 0.0010 0.0000 0.5001
V 0.4978 0.2503 0.2276
V 0.4996 0.2504 0.7564
O 0.9996 0.2502 0.7294
O 0.0022 0.2498 0.2640
O 0.5005 0.0015 0.2745
O 0.5002 0.2499 0.9981
O 0.5003 0.4987 0.2743

Largest 10 diffraction maxima, sorted by position, 2θ = 10–90°:
Position (°2θ)  d/Å  I (rel.)  index
21.52  4.129  184  1 0 0
22.32  3.984  106  0 2 0
30.62  2.919  573  1 0 2
31.20  2.867  1000  0 2 2
38.22  2.355  315  1 2 2
43.86  2.064  329  2 0 0
45.54  1.992  152  0 4 0
54.80  1.675  399  2 2 -2
55.88  1.645  202  1 4 2
65.07  1.433  187  2 4 0